Diffraction record for Li5MnO4. The XRD peak list is simulated, not measured: it uses DFT lattice parameters and positions (PBE+U) and Cu Kα X-rays.

Structure:
Lattice parameters (Å, degrees): 7.3655 5.1553 5.0470 90.00 90.00 90.00
Atoms (fractional coordinates):
1 Li 0.0000 0.1678 0.0000
2 Li 0.1760 0.5818 0.7156
3 Li 0.1865 0.0833 0.5465
4 Li 0.3135 0.9167 0.0465
5 Li 0.3240 0.4182 0.2156
6 Li 0.5000 0.8322 0.5000
7 Li 0.6760 0.4182 0.2156
8 Li 0.6865 0.9167 0.0465
9 Li 0.8135 0.0833 0.5465
10 Li 0.8240 0.5818 0.7156
11 Mn 0.0000 0.6526 0.2541
12 Mn 0.5000 0.3474 0.7541
13 O 0.0000 0.3064 0.3878
14 O 0.0000 0.7996 0.9062
15 O 0.2411 0.7422 0.3737
16 O 0.2589 0.2578 0.8737
17 O 0.5000 0.2004 0.4062
18 O 0.5000 0.6936 0.8878
19 O 0.7411 0.2578 0.8737
20 O 0.7589 0.7422 0.3737

Most intense lines, 10 to 80 degrees two-theta, in order of rising 2θ:
(0 1 0), 2θ 17.20, intensity 304
(1 1 0), 2θ 21.03, intensity 700
(1 0 1), 2θ 21.34, intensity 1000
(0 1 1), 2θ 24.69, intensity 549
(1 1 1), 2θ 27.54, intensity 518
(0 2 0), 2θ 34.81, intensity 554